Y2HPd6: theoretical powder X-ray diffraction pattern (Cu Kα (weighted mean of Kα1 and Kα2)), based on the PBE geometry in Alexandria.
Neutral-atom scattering factors, no anomalous dispersion.

Most intense lines, 5° ≤ 2θ ≤ 70°, by angle:
d 2.394, rel. 100; d 2.081, rel. 17; d 2.070, rel. 33; d 1.467, rel. 21; d 1.463, rel. 10

Cell and atoms:
Unit cell a=5.8695 b=5.8695 c=5.8695 alpha=120.18 beta=120.18 gamma=89.69
Positions (direct):
Y1 0.2500 0.7500 0.5000
Y2 0.7500 0.2500 0.5000
H1 0.0000 0.0000 0.0000
Pd1 0.2511 0.2511 0.0000
Pd2 0.2513 0.2513 0.5026
Pd3 0.2513 0.7487 0.0000
Pd4 0.7487 0.2513 0.0000
Pd5 0.7489 0.7489 0.0000
Pd6 0.7487 0.7487 0.4974



YH4Pd2: theoretical powder X-ray diffraction pattern (Cu Kα (weighted mean of Kα1 and Kα2)), based on the PBE geometry in Alexandria.
Neutral-atom scattering factors, no anomalous dispersion.

Most intense lines, 5° ≤ 2θ ≤ 70°, by angle:
d 3.028, rel. 58; d 2.574, rel. 100; d 2.431, rel. 100; d 2.394, rel. 43; d 2.342, rel. 39; d 2.257, rel. 37; d 2.049, rel. 39; d 1.501, rel. 26; d 1.440, rel. 23; d 1.406, rel. 34

Cell and atoms:
Unit cell a=5.0884 b=5.0884 c=8.4637 alpha=90.00 beta=90.00 gamma=140.42
Positions (direct):
Y1 0.0899 0.9101 0.7500
Y2 0.9101 0.0899 0.2500
H1 0.0000 0.0000 0.0000
H2 0.0000 0.0000 0.5000
H3 0.2594 0.7406 0.1134
H4 0.2594 0.7406 0.3866
H5 0.4400 0.5600 0.7500
H6 0.5600 0.4400 0.2500
H7 0.7406 0.2594 0.6134
H8 0.7406 0.2594 0.8866
Pd1 0.3602 0.6398 0.5584
Pd2 0.3602 0.6398 0.9416
Pd3 0.6398 0.3602 0.0584
Pd4 0.6398 0.3602 0.4416



ZnH3Pd5: theoretical powder X-ray diffraction pattern (Cu Kα (weighted mean of Kα1 and Kα2)), based on the PBE geometry in Alexandria.
Neutral-atom scattering factors, no anomalous dispersion.

Most intense lines, 5° ≤ 2θ ≤ 70°, by angle:
d 2.410, rel. 2; d 2.375, rel. 100; d 2.328, rel. 47; d 2.307, rel. 47; d 2.060, rel. 65; d 1.977, rel. 29; d 1.921, rel. 2; d 1.485, rel. 11; d 1.431, rel. 28; d 1.422, rel. 19

Cell and atoms:
Unit cell a=5.7322 b=5.7322 c=8.3843 alpha=118.86 beta=118.86 gamma=62.42
Positions (direct):
Zn1 0.0959 0.0959 0.3240
Zn2 0.9041 0.9041 0.6760
H1 0.0000 0.0000 0.0000
H2 0.0000 0.0000 0.5000
H3 0.3132 0.3132 0.8332
H4 0.3811 0.3811 0.2644
H5 0.6189 0.6189 0.7356
H6 0.6868 0.6868 0.1668
Pd1 0.0732 0.5994 0.3399
Pd2 0.2334 0.2334 0.9942
Pd3 0.2744 0.7256 0.0000
Pd4 0.4006 0.9268 0.6601
Pd5 0.4079 0.4079 0.6552
Pd6 0.5921 0.5921 0.3448
Pd7 0.5994 0.0732 0.3399
Pd8 0.7256 0.2744 0.0000
Pd9 0.7666 0.7666 0.0058
Pd10 0.9268 0.4006 0.6601